# 1
Structure and theoretical PXRD pattern of MnBeCoRe (a structure optimized by DFT (PBE); Cu Kα X-rays).
Lines closer than 0.1° are merged.

Structural model:
Unit cell a=4.0040 b=4.0040 c=4.0040 alpha=60.00 beta=60.00 gamma=60.00
Element x y z (fractional)
Mn (0.0000, 0.0000, 0.0000)
Be (0.7500, 0.7500, 0.7500)
Co (0.5000, 0.5000, 0.5000)
Re (0.2500, 0.2500, 0.2500)

Most intense lines, 10° ≤ 2θ ≤ 80°, by intensity:
two_theta  d (Å)  Rel. int.
45.3  2.002  100
27.3  3.269  87
53.7  1.707  42
72.8  1.299  17
66.0  1.416  16
31.6  2.831  7
75.0  1.266  3
56.3  1.635  2

***

# 2
Structure and theoretical PXRD pattern of Tm2MnBe2Co5 (a structure optimized by DFT (PBE); Cu Kα X-rays).
Lines closer than 0.1° are merged.

Structural model:
Unit cell a=9.0020 b=9.0020 c=3.1269 alpha=90.00 beta=90.00 gamma=90.00
Element x y z (fractional)
Tm (0.1787, 0.3213, 0.0000)
Tm (0.3213, 0.8213, 0.0000)
Tm (0.6787, 0.1787, 0.0000)
Tm (0.8213, 0.6787, 0.0000)
Mn (0.0000, 0.0000, 0.0000)
Mn (0.5000, 0.5000, 0.0000)
Be (0.1181, 0.6181, 0.0000)
Be (0.3819, 0.1181, 0.0000)
Be (0.6181, 0.8819, 0.0000)
Be (0.8819, 0.3819, 0.0000)
Co (0.0000, 0.5000, 0.5000)
Co (0.0646, 0.7862, 0.5000)
Co (0.2138, 0.0646, 0.5000)
Co (0.2862, 0.5646, 0.5000)
Co (0.4354, 0.2862, 0.5000)
Co (0.5000, 0.0000, 0.5000)
Co (0.5646, 0.7138, 0.5000)
Co (0.7138, 0.4354, 0.5000)
Co (0.7862, 0.9354, 0.5000)
Co (0.9354, 0.2138, 0.5000)

Most intense lines, 10° ≤ 2θ ≤ 80°, by intensity:
two_theta  d (Å)  Rel. int.
36.4  2.469  100
41.4  2.183  84
43.0  2.105  77
22.1  4.026  52
40.4  2.231  33
74.7  1.271  28
42.6  2.122  27
34.9  2.568  23
46.5  1.951  20
19.7  4.501  17
59.1  1.563  17
73.9  1.282  16